Record 1
This entry pairs a crystal structure of CaAcZnN2 with its computed XRD peak list. Radiation: Cu Ka. Structure: a GGA-PBE-relaxed structure.

Principal peaks in the range 2θ = 15–90°, most intense first:
2θ/deg  d [Å]  I_rel
23.25  3.826  100
26.45  3.370  94
29.08  3.071  91
30.34  2.946  72
28.04  3.183  63
34.16  2.625  51
15.04  5.892  41
44.93  2.018  41
41.83  2.160  38
38.26  2.352  37
19.12  4.642  37
36.59  2.456  36

Unit cell a=5.9860 b=4.6423 c=6.8616 alpha=90.00 beta=100.19 gamma=90.00
Element x y z (fractional)
Ca 0.0000 0.0214 0.2500
Ca 0.0000 0.9786 0.7500
Ac 0.5000 0.3243 0.7500
Ac 0.5000 0.6757 0.2500
Zn 0.0000 0.5000 0.0000
Zn 0.0000 0.5000 0.5000
N 0.2544 0.2446 0.0338
N 0.2544 0.7554 0.5338
N 0.7456 0.2446 0.4662
N 0.7456 0.7554 0.9662

Record 2
This entry pairs a crystal structure of NaCa2Ac2 with its computed XRD peak list. Radiation: Cu Ka. Structure: a GGA-PBE-relaxed structure.

Principal peaks in the range 2θ = 15–90°, most intense first:
2θ/deg  d [Å]  I_rel
26.49  3.365  100
31.10  2.876  62
18.49  4.798  38
35.33  2.541  29
36.59  2.456  26
24.78  3.593  26
37.65  2.389  25
45.60  1.989  23
58.21  1.585  23
40.16  2.245  22
27.89  3.199  22
60.79  1.524  19

Unit cell a=10.2463 b=10.2463 c=10.2463 alpha=151.29 beta=151.29 gamma=41.06
Element x y z (fractional)
Na 0.0000 0.0000 0.0000
Ca 0.4039 0.4039 0.0000
Ca 0.5961 0.5961 0.0000
Ac 0.2500 0.7500 0.5000
Ac 0.7500 0.2500 0.5000

Record 3
This entry pairs a crystal structure of NaCa3Ac2Se6 with its computed XRD peak list. Radiation: Cu Ka. Structure: a GGA-PBE-relaxed structure.

Principal peaks in the range 2θ = 15–90°, most intense first:
2θ/deg  d [Å]  I_rel
29.11  3.068  100
29.24  3.054  49
41.60  2.171  37
41.87  2.158  36
41.56  2.173  20
51.75  1.766  20
41.71  2.165  19
76.26  1.249  18
31.81  2.813  18
24.11  3.691  17
68.48  1.370  16
68.27  1.374  16

Unit cell a=9.6802 b=9.6802 c=8.6910 alpha=103.46 beta=103.46 gamma=25.85
Element x y z (fractional)
Na 0.0000 0.0000 0.0000
Ca 0.0000 0.0000 0.5000
Ca 0.3362 0.3362 0.1661
Ca 0.6638 0.6638 0.8339
Ac 0.3380 0.3380 0.6754
Ac 0.6620 0.6620 0.3246
Se 0.1651 0.1651 0.5910
Se 0.1705 0.1705 0.0733
Se 0.4967 0.4967 0.2579
Se 0.5033 0.5033 0.7421
Se 0.8295 0.8295 0.9267
Se 0.8349 0.8349 0.4090

Record 4
This entry pairs a crystal structure of NaCaAc2Tl4 with its computed XRD peak list. Radiation: Cu Ka. Structure: a GGA-PBE-relaxed structure.

Principal peaks in the range 2θ = 15–90°, most intense first:
2θ/deg  d [Å]  I_rel
31.54  2.837  100
56.16  1.638  40
45.20  2.006  19
19.16  4.632  18
74.84  1.269  17
65.84  1.418  12
37.16  2.419  11
22.16  4.012  6
49.52  1.841  5
83.46  1.158  4
59.90  1.544  4
69.28  1.356  4

Unit cell a=9.8214 b=9.8214 c=9.8214 alpha=33.59 beta=33.59 gamma=33.59
Element x y z (fractional)
Na 0.0000 0.0000 0.0000
Ca 0.5000 0.5000 0.5000
Ac 0.2518 0.2518 0.2518
Ac 0.7482 0.7482 0.7482
Tl 0.1242 0.1242 0.1242
Tl 0.3751 0.3751 0.3751
Tl 0.6249 0.6249 0.6249
Tl 0.8758 0.8758 0.8758